Starting from a structure optimized by DFT (GGA+U), the powder X-ray diffraction pattern of CsMgFeS2O8 was calculated for Cu Ka.
Peak positions follow from Bragg's law for the DFT cell and can differ from measured ones.

Crystal structure
a b c (Å): 5.0652 5.0778 9.8640
angles (deg): 89.75 89.53 61.20
Space group P1 (No. 1)
Inequivalent atoms, fractional coordinates:
Cs  0.0000  0.0000  0.0000
Mg  0.3335  0.3311  0.6741
Fe  0.0041  0.9956  0.4198
S  0.3418  0.3343  0.2579
S  0.6715  0.6695  0.6251
O  0.0899  0.2879  0.3118
O  0.3091  0.6224  0.3124
O  0.3308  0.3442  0.1084
O  0.3988  0.9421  0.5697
O  0.6371  0.0800  0.3018
O  0.6683  0.6757  0.7731
O  0.6705  0.3898  0.5740
O  0.9527  0.6706  0.5708

Top 10 peaks for 2θ = 5–70°, in order of rising 2θ:
2θ 19.98, rel. 39
2θ 21.91, rel. 41
2θ 22.02, rel. 32
2θ 22.21, rel. 32
2θ 26.96, rel. 100
2θ 27.14, rel. 74
2θ 27.38, rel. 36
2θ 34.75, rel. 26
2θ 35.41, rel. 48
2θ 44.68, rel. 29

Starting from a structure optimized by DFT (GGA+U), the powder X-ray diffraction pattern of CsFeMo2O8 was calculated for Cu Ka.
Peak positions follow from Bragg's law for the DFT cell and can differ from measured ones.

Crystal structure
a b c (Å): 5.6998 5.6998 8.3399
angles (deg): 90.00 90.00 120.00
Space group P-3 (No. 147)
Inequivalent atoms, fractional coordinates:
Cs  0.0000  0.0000  0.0000
Fe  0.0000  0.0000  0.5000
Mo  0.3333  0.6667  0.7072
O  0.1015  0.3237  0.6427
O  0.3333  0.6667  0.9173

Top 10 peaks for 2θ = 5–70°, in order of rising 2θ:
2θ 17.97, rel. 14
2θ 20.91, rel. 100
2θ 28.01, rel. 82
2θ 31.39, rel. 59
2θ 38.02, rel. 13
2θ 42.56, rel. 26
2θ 50.10, rel. 18
2θ 53.83, rel. 26
2θ 54.53, rel. 14
2θ 55.88, rel. 13

Starting from a structure optimized by DFT (GGA+U), the powder X-ray diffraction pattern of CsFeMo2O8 was calculated for Cu Ka.
Peak positions follow from Bragg's law for the DFT cell and can differ from measured ones.

Crystal structure
a b c (Å): 5.7988 5.7988 8.3525
angles (deg): 90.00 90.00 120.00
Space group P-3m1 (No. 164)
Inequivalent atoms, fractional coordinates:
Cs  0.0000  0.0000  0.0000
Fe  0.0000  0.0000  0.5000
Mo  0.3333  0.6667  0.7077
O  0.1617  0.3233  0.6425
O  0.3333  0.6667  0.9177

Top 10 peaks for 2θ = 5–70°, in order of rising 2θ:
2θ 17.66, rel. 14
2θ 20.64, rel. 100
2θ 27.78, rel. 79
2θ 30.84, rel. 59
2θ 37.40, rel. 12
2θ 41.98, rel. 26
2θ 47.14, rel. 12
2θ 49.23, rel. 19
2θ 52.99, rel. 26
2θ 54.13, rel. 14

Starting from a structure optimized by DFT (GGA+U), the powder X-ray diffraction pattern of CsNa5Fe2O6 was calculated for Cu Ka.
Peak positions follow from Bragg's law for the DFT cell and can differ from measured ones.

Crystal structure
a b c (Å): 13.1329 13.2219 20.3377
angles (deg): 90.00 90.00 90.00
Space group Fdd2 (No. 43)
Inequivalent atoms, fractional coordinates:
Cs  0.1038  0.1427  0.0000
Na  0.0000  0.0000  0.1371
Na  0.0000  0.0000  0.3791
Na  0.0000  0.0000  0.6173
Na  0.0000  0.0000  0.8728
Na  0.0047  0.2423  0.1372
Na  0.0053  0.2474  0.3680
Na  0.1054  0.1425  0.5303
Fe  0.0822  0.1220  0.2534
Fe  0.1229  0.4188  0.9949
O  0.0000  0.0000  0.2575
O  0.0000  0.0000  0.4979
O  0.0185  0.2682  0.7532
O  0.0971  0.3761  0.5828
O  0.0986  0.3732  0.4231
O  0.1156  0.3418  0.0718
O  0.1220  0.1101  0.6600

Top 10 peaks for 2θ = 5–70°, in order of rising 2θ:
2θ 17.44, rel. 95
2θ 21.71, rel. 43
2θ 21.83, rel. 43
2θ 25.08, rel. 86
2θ 30.72, rel. 41
2θ 32.30, rel. 92
2θ 32.46, rel. 84
2θ 35.29, rel. 92
2θ 38.65, rel. 100
2θ 53.34, rel. 43

Starting from a structure optimized by DFT (GGA+U), the powder X-ray diffraction pattern of Cs2FeO4 was calculated for Cu Ka.
Peak positions follow from Bragg's law for the DFT cell and can differ from measured ones.

Crystal structure
a b c (Å): 8.5778 6.3848 11.3454
angles (deg): 90.00 90.00 90.00
Space group Pnma (No. 62)
Inequivalent atoms, fractional coordinates:
Cs  0.0124  0.2500  0.1936
Cs  0.1660  0.7500  0.4109
Fe  0.2358  0.7500  0.0806
O  0.0427  0.7500  0.0870
O  0.1943  0.0364  0.6465
O  0.2049  0.2500  0.4403

Top 10 peaks for 2θ = 5–70°, in order of rising 2θ:
2θ 23.40, rel. 65
2θ 26.05, rel. 39
2θ 26.23, rel. 100
2θ 27.41, rel. 97
2θ 27.95, rel. 73
2θ 31.54, rel. 23
2θ 32.29, rel. 31
2θ 38.57, rel. 32
2θ 47.34, rel. 28
2θ 49.11, rel. 23